[1]
Computed powder X-ray diffraction pattern
Compound: NaErPd6O8
Radiation: Cu Kα (weighted mean of Kα1 and Kα2)
Structure: the PBE geometry in the Materials Project
Intensities are scaled so that the largest is 100.

Main lines, in order of rising 2θ (15 to 90 degrees two-theta):
2theta  d [Å]  I (rel.)
15.2  5.816  19.4
30.7  2.908  12.0
34.5  2.601  100.0
37.9  2.374  62.0
54.7  1.679  13.7
57.1  1.613  24.1
59.5  1.554  33.0
64.0  1.454  17.3
74.8  1.269  20.4
76.9  1.240  7.5

Structure:
Cell lengths 5.8158, 5.8158, 5.8158 Å; angles 90.00, 90.00, 90.00 degrees
Element x y z (fractional)
Na  0.0000  0.0000  0.0000
Er  0.5000  0.5000  0.5000
Pd  0.0000  0.2491  0.5000
Pd  0.0000  0.7509  0.5000
Pd  0.2491  0.5000  0.0000
Pd  0.5000  0.0000  0.2491
Pd  0.5000  0.0000  0.7509
Pd  0.7509  0.5000  0.0000
O  0.2602  0.2602  0.2602
O  0.2602  0.2602  0.7398
O  0.2602  0.7398  0.2602
O  0.2602  0.7398  0.7398
O  0.7398  0.2602  0.2602
O  0.7398  0.2602  0.7398
O  0.7398  0.7398  0.2602
O  0.7398  0.7398  0.7398

[2]
Computed powder X-ray diffraction pattern
Compound: NaErTi2O6
Radiation: Cu Kα (weighted mean of Kα1 and Kα2)
Structure: the PBE geometry in the Materials Project
Intensities are scaled so that the largest is 100.

Main lines, in order of rising 2θ (15 to 90 degrees two-theta):
2theta  d [Å]  I (rel.)
19.9  4.472  50.5
20.4  4.355  65.8
26.0  3.421  19.5
32.4  2.764  18.3
33.2  2.699  100.0
33.8  2.655  26.0
39.5  2.283  19.8
47.5  1.915  23.3
47.8  1.903  17.8
60.0  1.541  24.1

Structure:
Cell lengths 7.6114, 5.5273, 5.3104 Å; angles 90.00, 90.00, 90.00 degrees
Element x y z (fractional)
Na  0.0000  0.2139  0.0000
Na  0.5000  0.7861  0.5000
Er  0.0000  0.6785  0.5249
Er  0.5000  0.3215  0.0249
Ti  0.2472  0.2361  0.5183
Ti  0.2528  0.7639  0.0183
Ti  0.7472  0.7639  0.0183
Ti  0.7528  0.2361  0.5183
O  0.0000  0.2776  0.4273
O  0.0000  0.7752  0.1130
O  0.1955  0.9442  0.6953
O  0.2076  0.4643  0.7846
O  0.2924  0.5357  0.2846
O  0.3045  0.0558  0.1953
O  0.5000  0.2248  0.6130
O  0.5000  0.7224  0.9273
O  0.6955  0.0558  0.1953
O  0.7076  0.5357  0.2846
O  0.7924  0.4643  0.7846
O  0.8045  0.9442  0.6953

[3]
Computed powder X-ray diffraction pattern
Compound: NaErP2S6
Radiation: Cu Kα (weighted mean of Kα1 and Kα2)
Structure: the PBE geometry in the Materials Project
Intensities are scaled so that the largest is 100.

Main lines, in order of rising 2θ (15 to 90 degrees two-theta):
2theta  d [Å]  I (rel.)
15.2  5.811  100.0
17.4  5.101  43.7
19.4  4.581  43.1
23.6  3.767  39.2
28.6  3.121  52.4
29.9  2.989  41.0
30.5  2.932  72.9
31.7  2.826  52.1
32.8  2.734  37.4
35.2  2.548  45.9

Structure:
Cell lengths 6.9997, 7.1835, 9.1767 Å; angles 86.55, 87.95, 87.72 degrees
Element x y z (fractional)
Na  0.0283  0.1028  0.2210
Na  0.9717  0.8972  0.7790
Er  0.4784  0.6180  0.2477
Er  0.5216  0.3820  0.7523
P  0.1494  0.5382  0.5272
P  0.4348  0.8930  0.9352
P  0.5652  0.1070  0.0648
P  0.8506  0.4618  0.4728
S  0.1522  0.5326  0.7489
S  0.2010  0.7878  0.4242
S  0.2096  0.7984  0.0612
S  0.3348  0.3371  0.4505
S  0.3592  0.3186  0.0619
S  0.3722  0.0244  0.7410
S  0.6278  0.9756  0.2590
S  0.6408  0.6814  0.9381
S  0.6652  0.6629  0.5495
S  0.7904  0.2016  0.9388
S  0.7990  0.2122  0.5758
S  0.8478  0.4674  0.2511

[4]
Computed powder X-ray diffraction pattern
Compound: NaErS2
Radiation: Cu Kα (weighted mean of Kα1 and Kα2)
Structure: the PBE geometry in the Materials Project
Intensities are scaled so that the largest is 100.

Main lines, in order of rising 2θ (15 to 90 degrees two-theta):
2theta  d [Å]  I (rel.)
26.5  3.369  45.4
27.6  3.235  32.2
31.7  2.822  100.0
34.5  2.599  18.7
41.2  2.193  20.1
44.9  2.019  35.8
46.0  1.973  34.8
48.1  1.892  22.0
56.9  1.617  17.9
76.1  1.251  15.1

Structure:
Cell lengths 7.0493, 7.0493, 7.0493 Å; angles 32.51, 32.51, 32.51 degrees
Element x y z (fractional)
Na  0.0000  0.0000  0.0000
Er  0.5000  0.5000  0.5000
S  0.2419  0.2419  0.2419
S  0.7581  0.7581  0.7581

[5]
Computed powder X-ray diffraction pattern
Compound: NaErSe2
Radiation: Cu Kα (weighted mean of Kα1 and Kα2)
Structure: the PBE geometry in the Materials Project
Intensities are scaled so that the largest is 100.

Main lines, in order of rising 2θ (15 to 90 degrees two-theta):
2theta  d [Å]  I (rel.)
25.4  3.512  23.4
30.3  2.948  100.0
39.2  2.296  15.4
42.8  2.114  36.9
44.0  2.057  36.2
46.0  1.973  14.2
54.4  1.687  19.0
70.6  1.333  15.1
72.5  1.304  19.3
80.1  1.198  11.7

Structure:
Cell lengths 7.3966, 7.3966, 7.3966 Å; angles 32.29, 32.29, 32.29 degrees
Element x y z (fractional)
Na  0.0000  0.0000  0.0000
Er  0.5000  0.5000  0.5000
Se  0.2425  0.2425  0.2425
Se  0.7575  0.7575  0.7575

[6]
Computed powder X-ray diffraction pattern
Compound: ErNbO2
Radiation: Cu Kα (weighted mean of Kα1 and Kα2)
Structure: the PBE geometry in the Materials Project
Intensities are scaled so that the largest is 100.

Main lines, in order of rising 2θ (15 to 90 degrees two-theta):
2theta  d [Å]  I (rel.)
16.3  5.438  14.5
31.3  2.854  38.7
32.9  2.719  100.0
41.3  2.186  42.0
52.7  1.736  35.0
56.8  1.621  27.8
59.8  1.546  13.5
69.1  1.359  15.3
70.0  1.344  23.8
87.1  1.119  16.7

Structure:
Cell lengths 7.1911, 7.1911, 7.1911 Å; angles 129.07, 129.07, 74.90 degrees
Element x y z (fractional)
Er  0.0000  0.0000  0.0000
Er  0.0000  0.0000  0.5000
Er  0.0000  0.5000  0.0000
Er  0.5000  0.0000  0.5000
Nb  0.0000  0.5000  0.5000
Nb  0.5000  0.0000  0.0000
Nb  0.5000  0.5000  0.0000
Nb  0.5000  0.5000  0.5000
O  0.2001  0.2124  0.5122
O  0.2001  0.6879  0.9878
O  0.2124  0.2001  0.0122
O  0.3121  0.7999  0.5122
O  0.6879  0.2001  0.4878
O  0.7876  0.7999  0.9878
O  0.7999  0.3121  0.0122
O  0.7999  0.7876  0.4878

[7]
Computed powder X-ray diffraction pattern
Compound: Er2Nb2O7
Radiation: Cu Kα (weighted mean of Kα1 and Kα2)
Structure: the PBE geometry in the Materials Project
Intensities are scaled so that the largest is 100.

Main lines, in order of rising 2θ (15 to 90 degrees two-theta):
2theta  d [Å]  I (rel.)
28.7  3.109  3.4
30.0  2.976  100.0
34.8  2.578  31.5
38.0  2.365  5.9
50.0  1.823  49.2
59.5  1.554  42.7
62.4  1.488  9.1
73.5  1.289  7.2
81.4  1.183  17.3
83.9  1.153  12.9

Structure:
Cell lengths 7.2906, 7.2906, 7.2906 Å; angles 60.00, 60.00, 60.00 degrees
Element x y z (fractional)
Er  0.0000  0.0000  0.0000
Er  0.0000  0.0000  0.5000
Er  0.0000  0.5000  0.0000
Er  0.5000  0.0000  0.0000
Nb  0.0000  0.5000  0.5000
Nb  0.5000  0.0000  0.5000
Nb  0.5000  0.5000  0.0000
Nb  0.5000  0.5000  0.5000
O  0.1250  0.1250  0.1250
O  0.1524  0.1524  0.5976
O  0.1524  0.5976  0.1524
O  0.1524  0.5976  0.5976
O  0.4024  0.4024  0.8476
O  0.4024  0.8476  0.4024
O  0.4024  0.8476  0.8476
O  0.5976  0.1524  0.1524
O  0.5976  0.1524  0.5976
O  0.5976  0.5976  0.1524
O  0.8476  0.4024  0.4024
O  0.8476  0.4024  0.8476
O  0.8476  0.8476  0.4024
O  0.8750  0.8750  0.8750